1.
Diffraction record for HoGa8Tc4. The powder diffractogram is computed, not measured: it uses a DFT-relaxed cell (GGA-PBE, Alexandria) and Cu Kα (λ = 1.5418 Å).

Cell and atoms:
```
data_HoGa8Tc4
_cell_length_a 6.8910
_cell_length_b 6.8910
_cell_length_c 6.8910
_cell_angle_alpha 98.29
_cell_angle_beta 98.29
_cell_angle_gamma 135.37
_space_group_name_H-M_alt 'P 1'
_space_group_IT_number 1
_space_group_name_Hall 'P 1'
loop_
_atom_site_label
_atom_site_type_symbol
_atom_site_fract_x
_atom_site_fract_y
_atom_site_fract_z
Ho1 Ho 0.0000 0.0000 0.0000
Ga1 Ga 0.0000 0.3457 0.3457
Ga2 Ga 0.0000 0.6543 0.6543
Ga3 Ga 0.2886 0.5000 0.7886
Ga4 Ga 0.3457 0.0000 0.3457
Ga5 Ga 0.5000 0.2886 0.7886
Ga6 Ga 0.5000 0.7114 0.2114
Ga7 Ga 0.6543 0.0000 0.6543
Ga8 Ga 0.7114 0.5000 0.2114
Tc1 Tc 0.0000 0.0000 0.5000
Tc2 Tc 0.0000 0.5000 0.0000
Tc3 Tc 0.5000 0.0000 0.0000
Tc4 Tc 0.5000 0.5000 0.5000
```

Principal peaks in the range 15 to 90 degrees two-theta, by angle:
| 2θ (°) | d (Å) | I (rel.) |
| --- | --- | --- |
| 28.0 | 3.191 | 16 |
| 34.4 | 2.606 | 30 |
| 39.8 | 2.263 | 57 |
| 40.0 | 2.255 | 100 |
| 44.8 | 2.022 | 32 |
| 45.0 | 2.016 | 21 |
| 57.7 | 1.597 | 11 |
| 65.2 | 1.431 | 13 |
| 65.5 | 1.426 | 9 |
| 72.6 | 1.302 | 32 |
| 85.9 | 1.132 | 9 |
| 86.2 | 1.128 | 12 |

2.
Diffraction record for Ac8Tb3Nd2. The powder diffractogram is computed, not measured: it uses a DFT-relaxed cell (GGA-PBE, Alexandria) and Cu Kα (λ = 1.5418 Å).

Cell and atoms:
```
data_Ac8Tb3Nd2
_cell_length_a 6.6731
_cell_length_b 6.6947
_cell_length_c 12.1124
_cell_angle_alpha 90.16
_cell_angle_beta 100.67
_cell_angle_gamma 99.67
_space_group_name_H-M_alt 'P 1'
_space_group_IT_number 1
_space_group_name_Hall 'P 1'
loop_
_atom_site_label
_atom_site_type_symbol
_atom_site_fract_x
_atom_site_fract_y
_atom_site_fract_z
Ac1 Ac 0.0427 0.4142 0.1491
Ac2 Ac 0.1962 0.1187 0.7778
Ac3 Ac 0.3420 0.8068 0.3825
Ac4 Ac 0.4190 0.6556 0.6951
Ac5 Ac 0.5810 0.3444 0.3049
Ac6 Ac 0.6580 0.1932 0.6175
Ac7 Ac 0.8038 0.8813 0.2222
Ac8 Ac 0.9573 0.5858 0.8509
Tb1 Tb 0.2755 0.9606 0.0733
Tb2 Tb 0.5000 0.5000 0.0000
Tb3 Tb 0.7245 0.0394 0.9267
Nd1 Nd 0.1130 0.2671 0.4627
Nd2 Nd 0.8870 0.7329 0.5373
```

Principal peaks in the range 15 to 90 degrees two-theta, by angle:
| 2θ (°) | d (Å) | I (rel.) |
| --- | --- | --- |
| 28.4 | 3.147 | 100 |
| 28.5 | 3.127 | 33 |
| 32.9 | 2.726 | 46 |
| 33.0 | 2.712 | 22 |
| 47.1 | 1.931 | 17 |
| 47.2 | 1.925 | 8 |
| 47.3 | 1.923 | 8 |
| 47.4 | 1.918 | 16 |
| 55.9 | 1.644 | 15 |
| 56.0 | 1.642 | 15 |
| 56.1 | 1.638 | 15 |
| 58.6 | 1.574 | 9 |

3.
Diffraction record for Pr5Co2Pt. The powder diffractogram is computed, not measured: it uses a DFT-relaxed cell (GGA-PBE, Alexandria) and Cu Kα (λ = 1.5418 Å).

Cell and atoms:
```
data_Pr5Co2Pt
_cell_length_a 8.9615
_cell_length_b 8.9615
_cell_length_c 8.9615
_cell_angle_alpha 130.28
_cell_angle_beta 130.28
_cell_angle_gamma 72.96
_space_group_name_H-M_alt 'P 1'
_space_group_IT_number 1
_space_group_name_Hall 'P 1'
loop_
_atom_site_label
_atom_site_type_symbol
_atom_site_fract_x
_atom_site_fract_y
_atom_site_fract_z
Pr1 Pr 0.0000 0.0000 0.0000
Pr2 Pr 0.0365 0.5365 0.8523
Pr3 Pr 0.1842 0.0365 0.5000
Pr4 Pr 0.3158 0.8158 0.8523
Pr5 Pr 0.4635 0.3158 0.5000
Pr6 Pr 0.5000 0.5000 0.0000
Pr7 Pr 0.5365 0.6842 0.5000
Pr8 Pr 0.6842 0.1842 0.1477
Pr9 Pr 0.8158 0.9635 0.5000
Pr10 Pr 0.9635 0.4635 0.1477
Co1 Co 0.1103 0.3897 0.5000
Co2 Co 0.3897 0.8897 0.2794
Co3 Co 0.6103 0.1103 0.7206
Co4 Co 0.8897 0.6103 0.5000
Pt1 Pt 0.2500 0.2500 0.0000
Pt2 Pt 0.7500 0.7500 0.0000
```

Principal peaks in the range 15 to 90 degrees two-theta, by angle:
| 2θ (°) | d (Å) | I (rel.) |
| --- | --- | --- |
| 27.2 | 3.281 | 27 |
| 29.9 | 2.985 | 42 |
| 32.5 | 2.759 | 97 |
| 33.6 | 2.664 | 34 |
| 34.4 | 2.604 | 100 |
| 37.8 | 2.383 | 68 |
| 41.2 | 2.190 | 16 |
| 50.3 | 1.813 | 17 |
| 53.7 | 1.708 | 22 |
| 57.9 | 1.593 | 33 |
| 64.9 | 1.437 | 23 |
| 68.7 | 1.367 | 36 |

4.
Diffraction record for Hf3ZrZn. The powder diffractogram is computed, not measured: it uses a DFT-relaxed cell (GGA-PBE, Alexandria) and Cu Kα (λ = 1.5418 Å).

Cell and atoms:
```
data_Hf3ZrZn
_cell_length_a 8.8011
_cell_length_b 8.8011
_cell_length_c 5.6391
_cell_angle_alpha 100.40
_cell_angle_beta 100.40
_cell_angle_gamma 84.77
_space_group_name_H-M_alt 'P 1'
_space_group_IT_number 1
_space_group_name_Hall 'P 1'
loop_
_atom_site_label
_atom_site_type_symbol
_atom_site_fract_x
_atom_site_fract_y
_atom_site_fract_z
Hf1 Hf 0.0447 0.1703 0.4722
Hf2 Hf 0.1256 0.5048 0.3767
Hf3 Hf 0.1703 0.0447 0.9722
Hf4 Hf 0.2339 0.3771 0.8724
Hf5 Hf 0.3771 0.2339 0.3724
Hf6 Hf 0.4952 0.8744 0.1233
Hf7 Hf 0.5048 0.1256 0.8767
Hf8 Hf 0.6229 0.7661 0.6276
Hf9 Hf 0.7661 0.6229 0.1276
Hf10 Hf 0.8297 0.9553 0.0278
Hf11 Hf 0.8744 0.4952 0.6233
Hf12 Hf 0.9553 0.8297 0.5278
Zr1 Zr 0.1094 0.7146 0.9968
Zr2 Zr 0.2854 0.8906 0.5032
Zr3 Zr 0.7146 0.1094 0.4968
Zr4 Zr 0.8906 0.2854 0.0032
Zn1 Zn 0.3759 0.6241 0.7500
Zn2 Zn 0.4096 0.5904 0.2500
Zn3 Zn 0.5904 0.4096 0.7500
Zn4 Zn 0.6241 0.3759 0.2500
```

Principal peaks in the range 15 to 90 degrees two-theta, by angle:
| 2θ (°) | d (Å) | I (rel.) |
| --- | --- | --- |
| 35.7 | 2.515 | 100 |
| 36.1 | 2.490 | 49 |
| 36.4 | 2.466 | 50 |
| 37.7 | 2.389 | 44 |
| 37.9 | 2.372 | 45 |
| 38.9 | 2.315 | 12 |
| 49.0 | 1.860 | 16 |
| 54.3 | 1.690 | 14 |
| 54.8 | 1.676 | 14 |
| 62.6 | 1.483 | 11 |
| 66.3 | 1.411 | 12 |
| 67.1 | 1.395 | 19 |

5.
Diffraction record for Dy3Zn6Ag5. The powder diffractogram is computed, not measured: it uses a DFT-relaxed cell (GGA-PBE, Alexandria) and Cu Kα (λ = 1.5418 Å).

Cell and atoms:
```
data_Dy3Zn6Ag5
_cell_length_a 8.3519
_cell_length_b 8.3519
_cell_length_c 8.3519
_cell_angle_alpha 149.32
_cell_angle_beta 111.62
_cell_angle_gamma 76.79
_space_group_name_H-M_alt 'P 1'
_space_group_IT_number 1
_space_group_name_Hall 'P 1'
loop_
_atom_site_label
_atom_site_type_symbol
_atom_site_fract_x
_atom_site_fract_y
_atom_site_fract_z
Dy1 Dy 0.0000 0.0000 0.0000
Dy2 Dy 0.2984 0.2984 0.0000
Dy3 Dy 0.7016 0.7016 0.0000
Zn1 Zn 0.1576 0.8706 0.2870
Zn2 Zn 0.3150 0.5000 0.8150
Zn3 Zn 0.4164 0.1294 0.2870
Zn4 Zn 0.5836 0.8706 0.7130
Zn5 Zn 0.6850 0.5000 0.1850
Zn6 Zn 0.8424 0.1294 0.7130
Ag1 Ag 0.0186 0.6656 0.3530
Ag2 Ag 0.3126 0.6656 0.6470
Ag3 Ag 0.5000 0.0000 0.5000
Ag4 Ag 0.6874 0.3344 0.3530
Ag5 Ag 0.9814 0.3344 0.6470
```

Principal peaks in the range 15 to 90 degrees two-theta, by angle:
| 2θ (°) | d (Å) | I (rel.) |
| --- | --- | --- |
| 28.8 | 3.105 | 64 |
| 33.4 | 2.685 | 42 |
| 34.6 | 2.590 | 100 |
| 35.1 | 2.553 | 69 |
| 35.3 | 2.543 | 50 |
| 35.4 | 2.533 | 35 |
| 37.8 | 2.379 | 52 |
| 40.8 | 2.210 | 73 |
| 41.4 | 2.182 | 31 |
| 44.2 | 2.047 | 25 |
| 55.1 | 1.668 | 28 |
| 67.0 | 1.397 | 24 |

6.
Diffraction record for Tb3OsCl3. The powder diffractogram is computed, not measured: it uses a DFT-relaxed cell (GGA-PBE, Alexandria) and Cu Kα (λ = 1.5418 Å).

Cell and atoms:
```
data_Tb3OsCl3
_cell_length_a 8.2984
_cell_length_b 4.1044
_cell_length_c 11.6386
_cell_angle_alpha 90.00
_cell_angle_beta 90.87
_cell_angle_gamma 90.00
_space_group_name_H-M_alt 'P 1'
_space_group_IT_number 1
_space_group_name_Hall 'P 1'
loop_
_atom_site_label
_atom_site_type_symbol
_atom_site_fract_x
_atom_site_fract_y
_atom_site_fract_z
Tb1 Tb 0.0992 0.2500 0.1712
Tb2 Tb 0.1590 0.2500 0.6482
Tb3 Tb 0.2707 0.7500 0.4022
Tb4 Tb 0.7293 0.2500 0.5978
Tb5 Tb 0.8410 0.7500 0.3518
Tb6 Tb 0.9008 0.7500 0.8288
Os1 Os 0.0462 0.2500 0.4065
Os2 Os 0.9538 0.7500 0.5935
Cl1 Cl 0.1180 0.2500 0.9045
Cl2 Cl 0.3215 0.7500 0.1561
Cl3 Cl 0.4416 0.7500 0.6249
Cl4 Cl 0.5584 0.2500 0.3751
Cl5 Cl 0.6785 0.2500 0.8439
Cl6 Cl 0.8820 0.7500 0.0955
```

Principal peaks in the range 15 to 90 degrees two-theta, by angle:
| 2θ (°) | d (Å) | I (rel.) |
| --- | --- | --- |
| 25.4 | 3.503 | 15 |
| 30.7 | 2.915 | 100 |
| 31.5 | 2.837 | 37 |
| 32.5 | 2.759 | 30 |
| 34.5 | 2.597 | 26 |
| 38.4 | 2.344 | 15 |
| 38.8 | 2.320 | 14 |
| 39.3 | 2.293 | 37 |
| 39.6 | 2.275 | 17 |
| 44.2 | 2.051 | 55 |
| 44.5 | 2.037 | 14 |
| 54.7 | 1.677 | 15 |

7.
Diffraction record for NpZn12Ga7. The powder diffractogram is computed, not measured: it uses a DFT-relaxed cell (GGA-PBE, Alexandria) and Cu Kα (λ = 1.5418 Å).

Cell and atoms:
```
data_NpZn12Ga7
_cell_length_a 6.7187
_cell_length_b 7.2961
_cell_length_c 8.1715
_cell_angle_alpha 112.34
_cell_angle_beta 100.22
_cell_angle_gamma 102.85
_space_group_name_H-M_alt 'P 1'
_space_group_IT_number 1
_space_group_name_Hall 'P 1'
loop_
_atom_site_label
_atom_site_type_symbol
_atom_site_fract_x
_atom_site_fract_y
_atom_site_fract_z
Np1 Np 0.0000 0.0000 0.0000
Zn1 Zn 0.0483 0.2845 0.7637
Zn2 Zn 0.1444 0.2570 0.4637
Zn3 Zn 0.1440 0.6359 0.7042
Zn4 Zn 0.2457 0.5558 0.3261
Zn5 Zn 0.3425 0.9823 0.3768
Zn6 Zn 0.3800 0.3604 0.0295
Zn7 Zn 0.6200 0.6396 0.9705
Zn8 Zn 0.6575 0.0177 0.6232
Zn9 Zn 0.7543 0.4442 0.6739
Zn10 Zn 0.8560 0.3641 0.2958
Zn11 Zn 0.8556 0.7430 0.5363
Zn12 Zn 0.9517 0.7155 0.2363
Ga1 Ga 0.2449 0.6801 0.0475
Ga2 Ga 0.2592 0.0175 0.6886
Ga3 Ga 0.4791 0.3191 0.3350
Ga4 Ga 0.5000 0.0000 0.0000
Ga5 Ga 0.5209 0.6809 0.6650
Ga6 Ga 0.7408 0.9825 0.3114
Ga7 Ga 0.7551 0.3199 0.9525
```

Principal peaks in the range 15 to 90 degrees two-theta, by angle:
| 2θ (°) | d (Å) | I (rel.) |
| --- | --- | --- |
| 30.5 | 2.929 | 51 |
| 32.6 | 2.746 | 49 |
| 33.9 | 2.646 | 42 |
| 35.6 | 2.519 | 34 |
| 36.8 | 2.445 | 34 |
| 37.3 | 2.408 | 100 |
| 39.1 | 2.304 | 44 |
| 40.9 | 2.205 | 58 |
| 41.7 | 2.168 | 38 |
| 42.4 | 2.132 | 57 |
| 44.0 | 2.056 | 44 |
| 44.8 | 2.021 | 34 |

8.
Diffraction record for Yb3Ge5. The powder diffractogram is computed, not measured: it uses a DFT-relaxed cell (GGA-PBE, Alexandria) and Cu Kα (λ = 1.5418 Å).

Cell and atoms:
```
data_Yb3Ge5
_cell_length_a 6.8965
_cell_length_b 6.8965
_cell_length_c 4.2692
_cell_angle_alpha 90.00
_cell_angle_beta 90.00
_cell_angle_gamma 120.00
_space_group_name_H-M_alt 'P 1'
_space_group_IT_number 1
_space_group_name_Hall 'P 1'
loop_
_atom_site_label
_atom_site_type_symbol
_atom_site_fract_x
_atom_site_fract_y
_atom_site_fract_z
Yb1 Yb 0.0000 0.6401 0.0000
Yb2 Yb 0.3599 0.3599 0.0000
Yb3 Yb 0.6401 0.0000 0.0000
Ge1 Ge 0.0000 0.2566 0.5000
Ge2 Ge 0.2566 0.0000 0.5000
Ge3 Ge 0.3333 0.6667 0.5000
Ge4 Ge 0.6667 0.3333 0.5000
Ge5 Ge 0.7434 0.7434 0.5000
```

Principal peaks in the range 15 to 90 degrees two-theta, by angle:
| 2θ (°) | d (Å) | I (rel.) |
| --- | --- | --- |
| 25.8 | 3.448 | 23 |
| 33.4 | 2.683 | 100 |
| 36.7 | 2.447 | 11 |
| 39.9 | 2.257 | 12 |
| 42.3 | 2.135 | 15 |
| 45.6 | 1.991 | 24 |
| 50.3 | 1.815 | 8 |
| 57.7 | 1.599 | 13 |
| 63.9 | 1.456 | 17 |
| 71.8 | 1.315 | 11 |
| 72.5 | 1.304 | 8 |
| 76.4 | 1.247 | 13 |

9.
Diffraction record for YScAg2Se4. The powder diffractogram is computed, not measured: it uses a DFT-relaxed cell (GGA-PBE, Alexandria) and Cu Kα (λ = 1.5418 Å).

Cell and atoms:
```
data_YScAg2Se4
_cell_length_a 7.0142
_cell_length_b 4.0691
_cell_length_c 7.0460
_cell_angle_alpha 90.00
_cell_angle_beta 111.01
_cell_angle_gamma 90.00
_space_group_name_H-M_alt 'P 1'
_space_group_IT_number 1
_space_group_name_Hall 'P 1'
loop_
_atom_site_label
_atom_site_type_symbol
_atom_site_fract_x
_atom_site_fract_y
_atom_site_fract_z
Y1 Y 0.0000 0.0000 0.0000
Sc1 Sc 0.0000 0.5000 0.5000
Ag1 Ag 0.5000 0.0000 0.5000
Ag2 Ag 0.5000 0.5000 0.0000
Se1 Se 0.2362 0.0000 0.7403
Se2 Se 0.2393 0.5000 0.2638
Se3 Se 0.7607 0.5000 0.7362
Se4 Se 0.7638 0.0000 0.2597
```

Principal peaks in the range 15 to 90 degrees two-theta, by angle:
| 2θ (°) | d (Å) | I (rel.) |
| --- | --- | --- |
| 30.9 | 2.897 | 52 |
| 31.4 | 2.846 | 100 |
| 44.5 | 2.034 | 55 |
| 44.7 | 2.027 | 36 |
| 45.6 | 1.991 | 17 |
| 55.2 | 1.665 | 19 |
| 55.9 | 1.644 | 9 |
| 56.2 | 1.637 | 9 |
| 65.6 | 1.423 | 11 |
| 73.8 | 1.284 | 8 |
| 74.1 | 1.279 | 8 |
| 82.1 | 1.174 | 9 |

10.
Diffraction record for Pm2Si2Ge3. The powder diffractogram is computed, not measured: it uses a DFT-relaxed cell (GGA-PBE, Alexandria) and Cu Kα (λ = 1.5418 Å).

Cell and atoms:
```
data_Pm2Si2Ge3
_cell_length_a 4.4951
_cell_length_b 3.9590
_cell_length_c 8.9185
_cell_angle_alpha 90.00
_cell_angle_beta 104.30
_cell_angle_gamma 90.00
_space_group_name_H-M_alt 'P 1'
_space_group_IT_number 1
_space_group_name_Hall 'P 1'
loop_
_atom_site_label
_atom_site_type_symbol
_atom_site_fract_x
_atom_site_fract_y
_atom_site_fract_z
Pm1 Pm 0.1414 0.0000 0.2807
Pm2 Pm 0.8586 0.0000 0.7193
Si1 Si 0.4264 0.5000 0.8499
Si2 Si 0.5736 0.5000 0.1501
Ge1 Ge 0.0000 0.5000 0.0000
Ge2 Ge 0.2830 0.5000 0.5677
Ge3 Ge 0.7170 0.5000 0.4323
```

Principal peaks in the range 15 to 90 degrees two-theta, by angle:
| 2θ (°) | d (Å) | I (rel.) |
| --- | --- | --- |
| 20.4 | 4.350 | 32 |
| 30.5 | 2.928 | 29 |
| 30.6 | 2.919 | 70 |
| 33.9 | 2.641 | 100 |
| 40.1 | 2.248 | 31 |
| 41.6 | 2.169 | 28 |
| 41.8 | 2.160 | 31 |
| 45.8 | 1.980 | 21 |
| 51.2 | 1.784 | 17 |
| 51.4 | 1.778 | 17 |
| 62.5 | 1.485 | 17 |
| 63.8 | 1.459 | 17 |

11.
Diffraction record for Pa3MnSe2. The powder diffractogram is computed, not measured: it uses a DFT-relaxed cell (GGA-PBE, Alexandria) and Cu Kα (λ = 1.5418 Å).

Cell and atoms:
```
data_Pa3MnSe2
_cell_length_a 8.7611
_cell_length_b 8.7611
_cell_length_c 8.7611
_cell_angle_alpha 153.24
_cell_angle_beta 153.24
_cell_angle_gamma 38.20
_space_group_name_H-M_alt 'P 1'
_space_group_IT_number 1
_space_group_name_Hall 'P 1'
loop_
_atom_site_label
_atom_site_type_symbol
_atom_site_fract_x
_atom_site_fract_y
_atom_site_fract_z
Pa1 Pa 0.0000 0.0000 0.0000
Pa2 Pa 0.3543 0.3543 0.0000
Pa3 Pa 0.6457 0.6457 0.0000
Mn1 Mn 0.5000 0.5000 0.0000
Se1 Se 0.1763 0.1763 0.0000
Se2 Se 0.8237 0.8237 0.0000
```

Principal peaks in the range 15 to 90 degrees two-theta, by angle:
| 2θ (°) | d (Å) | I (rel.) |
| --- | --- | --- |
| 27.3 | 3.268 | 63 |
| 31.2 | 2.867 | 100 |
| 32.4 | 2.760 | 32 |
| 35.0 | 2.565 | 22 |
| 44.7 | 2.027 | 38 |
| 45.6 | 1.988 | 50 |
| 53.2 | 1.723 | 22 |
| 56.3 | 1.634 | 27 |
| 66.2 | 1.411 | 14 |
| 73.9 | 1.282 | 18 |
| 83.1 | 1.163 | 18 |
| 83.5 | 1.158 | 15 |

12.
Diffraction record for CsCrBr4. The powder diffractogram is computed, not measured: it uses a DFT-relaxed cell (GGA-PBE, Alexandria) and Cu Kα (λ = 1.5418 Å).

Cell and atoms:
```
data_CsCrBr4
_cell_length_a 7.5593
_cell_length_b 7.5593
_cell_length_c 9.9940
_cell_angle_alpha 103.52
_cell_angle_beta 103.52
_cell_angle_gamma 61.37
_space_group_name_H-M_alt 'P 1'
_space_group_IT_number 1
_space_group_name_Hall 'P 1'
loop_
_atom_site_label
_atom_site_type_symbol
_atom_site_fract_x
_atom_site_fract_y
_atom_site_fract_z
Cs1 Cs 0.1383 0.1383 0.3286
Cs2 Cs 0.8617 0.8617 0.6714
Cr1 Cr 0.4630 0.4630 0.1738
Cr2 Cr 0.5370 0.5370 0.8262
Br1 Br 0.1512 0.6115 0.2736
Br2 Br 0.2821 0.7179 0.0000
Br3 Br 0.3605 0.3605 0.6721
Br4 Br 0.3885 0.8488 0.7264
Br5 Br 0.6115 0.1512 0.2736
Br6 Br 0.6395 0.6395 0.3279
Br7 Br 0.7179 0.2821 0.0000
Br8 Br 0.8488 0.3885 0.7264
```

Principal peaks in the range 15 to 90 degrees two-theta, by angle:
| 2θ (°) | d (Å) | I (rel.) |
| --- | --- | --- |
| 17.4 | 5.095 | 37 |
| 18.5 | 4.809 | 67 |
| 27.4 | 3.252 | 86 |
| 27.8 | 3.206 | 47 |
| 29.5 | 3.025 | 54 |
| 30.0 | 2.980 | 100 |
| 30.7 | 2.912 | 73 |
| 32.4 | 2.762 | 39 |
| 36.2 | 2.478 | 63 |
| 47.1 | 1.929 | 28 |
| 48.2 | 1.887 | 49 |
| 50.1 | 1.820 | 28 |